1.
The following is a calculated powder XRD pattern of LaCd9Ga3. It was derived from a DFT-relaxed cell (GGA-PBE, Alexandria), using a wavelength of 1.5418 Å.
No peak broadening, texture or thermal motion is included.

Largest 10 diffraction maxima, by angle, 2θ from 15° to 90°:
- 30.8°, intensity 25
- 30.9°, intensity 67
- 35.5°, intensity 39
- 35.7°, intensity 37
- 35.8°, intensity 91
- 35.9°, intensity 100
- 39.9°, intensity 23
- 40.3°, intensity 52
- 40.3°, intensity 39
- 64.5°, intensity 22

Atomic structure:
Cell lengths 7.632, 7.632, 7.671 Å; angles 98.02, 98.02, 135.39 degrees
Atoms (fractional coordinates):
La1 0.000 0.000 0.000
Cd1 0.000 0.000 0.500
Cd2 0.004 0.356 0.352
Cd3 0.287 0.502 0.788
Cd4 0.356 0.004 0.352
Cd5 0.498 0.713 0.212
Cd6 0.502 0.287 0.788
Cd7 0.644 0.996 0.648
Cd8 0.713 0.498 0.212
Cd9 0.996 0.644 0.648
Ga1 0.000 0.500 0.000
Ga2 0.500 0.000 0.000
Ga3 0.500 0.500 0.500

---

2.
The following is a calculated powder XRD pattern of La4CdGa12. It was derived from a DFT-relaxed cell (GGA-PBE, Alexandria), using a wavelength of 1.5418 Å.
No peak broadening, texture or thermal motion is included.

Largest 10 diffraction maxima, by angle, 2θ from 15° to 90°:
- 27.8°, intensity 43
- 34.3°, intensity 100
- 37.1°, intensity 22
- 39.8°, intensity 70
- 42.3°, intensity 14
- 47.0°, intensity 18
- 57.5°, intensity 36
- 65.1°, intensity 16
- 68.7°, intensity 25
- 70.5°, intensity 11

Atomic structure:
Cell lengths 7.849, 7.849, 7.849 Å; angles 109.47, 109.47, 109.47 degrees
Atoms (fractional coordinates):
La1 0.000 0.000 0.500
La2 0.000 0.500 0.000
La3 0.500 0.000 0.000
La4 0.500 0.500 0.500
Cd1 0.000 0.000 0.000
Ga1 0.000 0.319 0.319
Ga2 0.000 0.681 0.681
Ga3 0.250 0.500 0.750
Ga4 0.250 0.750 0.500
Ga5 0.319 0.000 0.319
Ga6 0.319 0.319 0.000
Ga7 0.500 0.250 0.750
Ga8 0.500 0.750 0.250
Ga9 0.681 0.000 0.681
Ga10 0.681 0.681 0.000
Ga11 0.750 0.250 0.500
Ga12 0.750 0.500 0.250

---

3.
The following is a calculated powder XRD pattern of LaPmCdGa. It was derived from a DFT-relaxed cell (GGA-PBE, Alexandria), using a wavelength of 1.5418 Å.
No peak broadening, texture or thermal motion is included.

Largest 10 diffraction maxima, by angle, 2θ from 15° to 90°:
- 33.0°, intensity 100
- 34.2°, intensity 47
- 45.5°, intensity 9
- 49.2°, intensity 17
- 58.1°, intensity 17
- 60.5°, intensity 34
- 69.2°, intensity 10
- 76.1°, intensity 6
- 81.6°, intensity 7
- 82.3°, intensity 7

Atomic structure:
Cell lengths 3.705, 3.705, 7.977 Å; angles 90.00, 90.00, 90.00 degrees
Atoms (fractional coordinates):
La1 0.000 0.000 0.000
Pm1 0.000 0.000 0.462
Cd1 0.500 0.500 0.717
Ga1 0.500 0.500 0.241

---

4.
The following is a calculated powder XRD pattern of Li7Cd2Ga2. It was derived from a DFT-relaxed cell (GGA-PBE, Alexandria), using a wavelength of 1.5418 Å.
No peak broadening, texture or thermal motion is included.

Largest 10 diffraction maxima, by angle, 2θ from 15° to 90°:
- 19.8°, intensity 100
- 20.9°, intensity 35
- 28.0°, intensity 77
- 29.6°, intensity 56
- 30.8°, intensity 19
- 38.0°, intensity 20
- 38.8°, intensity 16
- 39.0°, intensity 61
- 41.0°, intensity 18
- 41.8°, intensity 24

Atomic structure:
Cell lengths 6.628, 6.628, 4.845 Å; angles 105.93, 105.93, 88.07 degrees
Atoms (fractional coordinates):
Li1 0.000 0.000 0.000
Li2 0.054 0.586 0.817
Li3 0.414 0.946 0.183
Li4 0.418 0.418 0.200
Li5 0.582 0.582 0.800
Li6 0.586 0.054 0.817
Li7 0.946 0.414 0.183
Cd1 0.205 0.795 0.500
Cd2 0.795 0.205 0.500
Ga1 0.236 0.236 0.595
Ga2 0.764 0.764 0.405

---

5.
The following is a calculated powder XRD pattern of Li2Cd3Ga3. It was derived from a DFT-relaxed cell (GGA-PBE, Alexandria), using a wavelength of 1.5418 Å.
No peak broadening, texture or thermal motion is included.

Largest 10 diffraction maxima, by angle, 2θ from 15° to 90°:
- 22.8°, intensity 55
- 23.8°, intensity 28
- 33.2°, intensity 16
- 36.5°, intensity 79
- 37.9°, intensity 100
- 39.3°, intensity 16
- 41.2°, intensity 29
- 60.2°, intensity 20
- 60.5°, intensity 24
- 69.6°, intensity 14

Atomic structure:
Cell lengths 5.413, 5.413, 5.413 Å; angles 87.29, 87.29, 87.29 degrees
Atoms (fractional coordinates):
Li1 0.250 0.250 0.250
Li2 0.750 0.750 0.750
Cd1 0.000 0.241 0.759
Cd2 0.241 0.759 0.000
Cd3 0.759 0.000 0.241
Ga1 0.279 0.721 0.500
Ga2 0.500 0.279 0.721
Ga3 0.721 0.500 0.279

---

6.
The following is a calculated powder XRD pattern of Li14CdGa. It was derived from a DFT-relaxed cell (GGA-PBE, Alexandria), using a wavelength of 1.5418 Å.
No peak broadening, texture or thermal motion is included.

Largest 10 diffraction maxima, by angle, 2θ from 15° to 90°:
- 18.4°, intensity 67
- 18.8°, intensity 78
- 21.0°, intensity 100
- 26.5°, intensity 57
- 28.8°, intensity 46
- 33.1°, intensity 32
- 34.6°, intensity 55
- 38.3°, intensity 89
- 39.3°, intensity 41
- 43.9°, intensity 31

Atomic structure:
Cell lengths 9.625, 5.742, 5.742 Å; angles 69.64, 90.00, 90.00 degrees
Atoms (fractional coordinates):
Li1 0.000 0.000 0.000
Li2 0.000 0.497 0.497
Li3 0.000 0.501 0.995
Li4 0.000 0.995 0.501
Li5 0.257 0.228 0.228
Li6 0.260 0.729 0.729
Li7 0.262 0.221 0.735
Li8 0.262 0.735 0.221
Li9 0.500 0.472 0.978
Li10 0.500 0.978 0.472
Li11 0.738 0.221 0.735
Li12 0.738 0.735 0.221
Li13 0.740 0.729 0.729
Li14 0.743 0.228 0.228
Cd1 0.500 0.476 0.476
Ga1 0.500 0.974 0.974

---

7.
The following is a calculated powder XRD pattern of Li2Cd9Ga. It was derived from a DFT-relaxed cell (GGA-PBE, Alexandria), using a wavelength of 1.5418 Å.
No peak broadening, texture or thermal motion is included.

Largest 10 diffraction maxima, by angle, 2θ from 15° to 90°:
- 19.9°, intensity 12
- 29.1°, intensity 10
- 35.5°, intensity 100
- 40.4°, intensity 35
- 42.8°, intensity 14
- 58.4°, intensity 11
- 60.3°, intensity 20
- 70.2°, intensity 25
- 73.6°, intensity 11
- 75.1°, intensity 10

Atomic structure:
Cell lengths 4.468, 4.468, 12.681 Å; angles 90.00, 90.00, 90.00 degrees
Atoms (fractional coordinates):
Li1 0.000 0.000 0.163
Li2 0.000 0.000 0.837
Cd1 0.000 0.500 0.000
Cd2 0.000 0.500 0.328
Cd3 0.000 0.500 0.672
Cd4 0.500 0.000 0.000
Cd5 0.500 0.000 0.328
Cd6 0.500 0.000 0.672
Cd7 0.500 0.500 0.165
Cd8 0.500 0.500 0.500
Cd9 0.500 0.500 0.835
Ga1 0.000 0.000 0.500

---

8.
The following is a calculated powder XRD pattern of LiCd2Ga. It was derived from a DFT-relaxed cell (GGA-PBE, Alexandria), using a wavelength of 1.5418 Å.
No peak broadening, texture or thermal motion is included.

Largest 10 diffraction maxima, by angle, 2θ from 15° to 90°:
- 17.0°, intensity 20
- 25.0°, intensity 51
- 29.4°, intensity 19
- 34.5°, intensity 28
- 36.7°, intensity 42
- 38.6°, intensity 59
- 39.2°, intensity 100
- 60.9°, intensity 18
- 67.8°, intensity 19
- 73.3°, intensity 20

Atomic structure:
Cell lengths 4.895, 6.082, 6.082 Å; angles 121.18, 90.00, 90.00 degrees
Atoms (fractional coordinates):
Li1 0.250 0.168 0.832
Li2 0.750 0.832 0.168
Cd1 0.250 0.163 0.329
Cd2 0.250 0.677 0.336
Cd3 0.750 0.329 0.163
Cd4 0.750 0.336 0.677
Ga1 0.250 0.677 0.832
Ga2 0.750 0.832 0.677

---

9.
The following is a calculated powder XRD pattern of Li3Cd2Ga. It was derived from a DFT-relaxed cell (GGA-PBE, Alexandria), using a wavelength of 1.5418 Å.
No peak broadening, texture or thermal motion is included.

Largest 10 diffraction maxima, by angle, 2θ from 15° to 90°:
- 27.0°, intensity 100
- 27.3°, intensity 97
- 27.9°, intensity 92
- 38.8°, intensity 93
- 39.2°, intensity 90
- 39.3°, intensity 45
- 39.5°, intensity 44
- 48.3°, intensity 40
- 48.5°, intensity 39
- 64.7°, intensity 24

Atomic structure:
Cell lengths 4.562, 6.603, 7.203 Å; angles 90.00, 107.29, 90.00 degrees
Atoms (fractional coordinates):
Li1 0.000 0.241 0.000
Li2 0.000 0.759 0.000
Li3 0.331 0.236 0.660
Li4 0.331 0.764 0.660
Li5 0.669 0.236 0.340
Li6 0.669 0.764 0.340
Cd1 0.164 0.500 0.332
Cd2 0.500 0.000 0.000
Cd3 0.500 0.500 0.000
Cd4 0.836 0.500 0.668
Ga1 0.165 0.000 0.334
Ga2 0.835 0.000 0.666

---

10.
The following is a calculated powder XRD pattern of LiCd2Ga. It was derived from a DFT-relaxed cell (GGA-PBE, Alexandria), using a wavelength of 1.5418 Å.
No peak broadening, texture or thermal motion is included.

Largest 10 diffraction maxima, by angle, 2θ from 15° to 90°:
- 16.7°, intensity 69
- 33.8°, intensity 50
- 34.2°, intensity 26
- 34.6°, intensity 53
- 37.0°, intensity 100
- 39.6°, intensity 65
- 44.7°, intensity 41
- 60.7°, intensity 25
- 61.1°, intensity 27
- 71.6°, intensity 31

Atomic structure:
Cell lengths 10.760, 10.760, 10.760 Å; angles 16.22, 16.22, 16.22 degrees
Atoms (fractional coordinates):
Li1 0.000 0.000 0.000
Cd1 0.087 0.087 0.087
Cd2 0.913 0.913 0.913
Ga1 0.500 0.500 0.500

---

11.
The following is a calculated powder XRD pattern of Li6CdGa. It was derived from a DFT-relaxed cell (GGA-PBE, Alexandria), using a wavelength of 1.5418 Å.
No peak broadening, texture or thermal motion is included.

Largest 10 diffraction maxima, by angle, 2θ from 15° to 90°:
- 23.8°, intensity 52
- 24.2°, intensity 100
- 24.3°, intensity 99
- 24.5°, intensity 48
- 34.4°, intensity 25
- 34.6°, intensity 49
- 42.2°, intensity 42
- 42.4°, intensity 27
- 42.9°, intensity 27
- 43.1°, intensity 26

Atomic structure:
Cell lengths 5.185, 5.198, 5.218 Å; angles 91.72, 90.35, 90.28 degrees
Atoms (fractional coordinates):
Li1 0.000 0.244 0.498
Li2 0.000 0.756 0.502
Li3 0.257 0.000 0.000
Li4 0.499 0.502 0.743
Li5 0.501 0.498 0.257
Li6 0.743 0.000 0.000
Cd1 0.000 0.500 0.000
Ga1 0.500 0.000 0.500

---

12.
The following is a calculated powder XRD pattern of Li5Cd3Ga. It was derived from a DFT-relaxed cell (GGA-PBE, Alexandria), using a wavelength of 1.5418 Å.
No peak broadening, texture or thermal motion is included.

Largest 10 diffraction maxima, by angle, 2θ from 15° to 90°:
- 15.1°, intensity 37
- 16.5°, intensity 26
- 21.4°, intensity 26
- 23.4°, intensity 100
- 31.2°, intensity 35
- 33.4°, intensity 51
- 36.2°, intensity 16
- 38.0°, intensity 15
- 43.5°, intensity 18
- 46.3°, intensity 15

Atomic structure:
Cell lengths 6.036, 6.036, 10.869 Å; angles 96.25, 96.25, 78.24 degrees
Atoms (fractional coordinates):
Li1 0.031 0.031 0.283
Li2 0.089 0.500 0.330
Li3 0.169 0.831 0.000
Li4 0.230 0.230 0.859
Li5 0.500 0.089 0.330
Li6 0.500 0.911 0.670
Li7 0.770 0.770 0.141
Li8 0.831 0.169 0.000
Li9 0.911 0.500 0.670
Li10 0.969 0.969 0.717
Cd1 0.170 0.170 0.527
Cd2 0.245 0.245 0.117
Cd3 0.500 0.500 0.000
Cd4 0.500 0.500 0.500
Cd5 0.755 0.755 0.883
Cd6 0.830 0.830 0.473
Ga1 0.453 0.453 0.741
Ga2 0.547 0.547 0.259

---

13.
The following is a calculated powder XRD pattern of Li4Cd3Ga5. It was derived from a DFT-relaxed cell (GGA-PBE, Alexandria), using a wavelength of 1.5418 Å.
No peak broadening, texture or thermal motion is included.

Largest 10 diffraction maxima, by angle, 2θ from 15° to 90°:
- 19.0°, intensity 83
- 20.4°, intensity 61
- 21.6°, intensity 53
- 31.5°, intensity 58
- 34.2°, intensity 39
- 35.1°, intensity 100
- 36.0°, intensity 37
- 37.5°, intensity 89
- 39.8°, intensity 75
- 43.4°, intensity 36

Atomic structure:
Cell lengths 6.899, 6.899, 8.434 Å; angles 115.35, 115.35, 43.53 degrees
Atoms (fractional coordinates):
Li1 0.087 0.087 0.437
Li2 0.180 0.180 0.860
Li3 0.820 0.820 0.140
Li4 0.913 0.913 0.563
Cd1 0.240 0.240 0.252
Cd2 0.500 0.500 0.000
Cd3 0.760 0.760 0.748
Ga1 0.000 0.000 0.000
Ga2 0.319 0.319 0.643
Ga3 0.467 0.467 0.326
Ga4 0.533 0.533 0.674
Ga5 0.681 0.681 0.357

---

14.
The following is a calculated powder XRD pattern of LiCd4Ga2. It was derived from a DFT-relaxed cell (GGA-PBE, Alexandria), using a wavelength of 1.5418 Å.
No peak broadening, texture or thermal motion is included.

Largest 10 diffraction maxima, by angle, 2θ from 15° to 90°:
- 20.6°, intensity 17
- 33.2°, intensity 100
- 40.2°, intensity 52
- 40.4°, intensity 24
- 41.8°, intensity 22
- 44.6°, intensity 13
- 59.5°, intensity 15
- 68.9°, intensity 11
- 70.9°, intensity 10
- 73.3°, intensity 9

Atomic structure:
Cell lengths 8.429, 8.429, 4.322 Å; angles 90.00, 90.00, 149.27 degrees
Atoms (fractional coordinates):
Li1 0.000 0.000 0.000
Cd1 0.174 0.826 0.500
Cd2 0.318 0.682 0.000
Cd3 0.682 0.318 0.000
Cd4 0.826 0.174 0.500
Ga1 0.425 0.575 0.500
Ga2 0.575 0.425 0.500